1.
For Zr6AgBi3, the PBE geometry in Alexandria gives the calculated powder diffraction line list in this record (CuKα).
Neutral-atom scattering factors, no anomalous dispersion.

Peak list (10 most intense, 10 to 80 degrees two-theta, by angle)
2θ 16.45, I = 31; 2θ 25.63, I = 71; 2θ 30.86, I = 37; 2θ 31.75, I = 29; 2θ 33.26, I = 84; 2θ 33.39, I = 89; 2θ 36.31, I = 76; 2θ 38.29, I = 29; 2θ 38.57, I = 100; 2θ 39.69, I = 43

Atomic structure:
Lattice parameters (Å, degrees): 9.352 14.623 7.384 90.00 90.00 90.00
Space group Cmc2_1 (No. 36)
Symmetry-distinct sites (fractional):
Zr 0.000 0.048 0.000
Zr 0.000 0.262 0.748
Zr 0.189 0.429 0.811
Zr 0.221 0.214 0.023
Ag 0.000 0.172 0.329
Bi 0.000 0.411 0.464
Bi 0.196 0.103 0.674


2.
For Ag5Br6, the PBE geometry in Alexandria gives the calculated powder diffraction line list in this record (CuKα).
Neutral-atom scattering factors, no anomalous dispersion.

Peak list (10 most intense, 10 to 80 degrees two-theta, by angle)
2θ 30.46, I = 100; 2θ 31.89, I = 44; 2θ 43.53, I = 18; 2θ 43.72, I = 18; 2θ 44.68, I = 66; 2θ 54.96, I = 17; 2θ 55.12, I = 17; 2θ 63.40, I = 11; 2θ 72.73, I = 15; 2θ 75.04, I = 14

Atomic structure:
Lattice parameters (Å, degrees): 6.977 12.475 6.973 90.00 107.16 90.00
Space group C2/m (No. 12)
Symmetry-distinct sites (fractional):
Ag 0.000 0.000 0.000
Ag 0.000 0.165 0.500
Ag 0.000 0.335 0.000
Br 0.243 0.000 0.761
Br 0.245 0.174 0.250


3.
For Ag5Br7, the PBE geometry in Alexandria gives the calculated powder diffraction line list in this record (CuKα).
Neutral-atom scattering factors, no anomalous dispersion.

Peak list (10 most intense, 10 to 80 degrees two-theta, by angle)
2θ 13.46, I = 89; 2θ 19.43, I = 100; 2θ 20.25, I = 59; 2θ 23.35, I = 57; 2θ 29.32, I = 75; 2θ 29.67, I = 64; 2θ 30.63, I = 60; 2θ 31.65, I = 57; 2θ 35.69, I = 94; 2θ 46.06, I = 69

Atomic structure:
Lattice parameters (Å, degrees): 3.944 7.050 13.193 85.71 88.53 75.08
Space group P-1 (No. 2)
Symmetry-distinct sites (fractional):
Ag 0.000 0.000 0.000
Ag 0.290 0.449 0.147
Ag 0.371 0.259 0.554
Br 0.000 0.000 0.500
Br 0.095 0.825 0.827
Br 0.235 0.534 0.365
Br 0.322 0.286 0.911